(1)
Structure and theoretical powder XRD pattern of K17Rb11Sr (the PBE geometry in Alexandria; Cu Kα (λ = 1.5418 Å)).
No peak broadening, texture or thermal motion is included.

Most intense lines, 2θ from 15° to 90°, sorted by position:
two_theta	intensity
22.43	26
22.62	100
22.75	30
22.91	63
24.83	25
24.99	56
25.11	23
25.57	33
27.49	20
38.65	25

Cell and atoms:
Cell lengths 14.4540, 14.4540, 14.1374 Å; angles 109.04, 109.04, 109.48 degrees
Positions (direct):
1 K 0.0000 0.0000 0.0000
2 K 0.0006 0.3110 0.2264
3 K 0.0025 0.0025 0.6198
4 K 0.0025 0.3510 0.6175
5 K 0.2749 0.6819 0.3107
6 K 0.3110 0.0006 0.2264
7 K 0.3120 0.5772 0.6207
8 K 0.3510 0.0025 0.6175
9 K 0.4032 0.4032 0.3539
10 K 0.4032 0.7208 0.0345
11 K 0.5772 0.3120 0.6207
12 K 0.5830 0.9954 0.9388
13 K 0.6332 0.6332 0.2630
14 K 0.6784 0.6784 0.9020
15 K 0.6819 0.2749 0.3107
16 K 0.7208 0.4032 0.0345
17 K 0.9954 0.5830 0.9388
18 Rb 0.1815 0.3754 0.0073
19 Rb 0.1897 0.8092 0.8183
20 Rb 0.3754 0.1815 0.0073
21 Rb 0.3784 0.3784 0.8151
22 Rb 0.6149 0.9979 0.4307
23 Rb 0.6184 0.8054 0.6275
24 Rb 0.8044 0.9954 0.2430
25 Rb 0.8054 0.6184 0.6275
26 Rb 0.8092 0.1897 0.8183
27 Rb 0.9954 0.8044 0.2430
28 Rb 0.9979 0.6149 0.4307
29 Sr 0.1856 0.1856 0.4379

***

(2)
Structure and theoretical powder XRD pattern of LiAcLa2S4 (the PBE geometry in Alexandria; Cu Kα (λ = 1.5418 Å)).
No peak broadening, texture or thermal motion is included.

Most intense lines, 2θ from 15° to 90°, sorted by position:
two_theta	intensity
15.09	29
21.32	27
25.00	29
26.09	24
26.19	47
26.41	23
30.33	100
30.45	49
43.31	55
43.72	36

Cell and atoms:
Cell lengths 7.1533, 4.1753, 7.2410 Å; angles 90.00, 109.36, 90.00 degrees
Positions (direct):
1 Li 0.0000 0.0000 0.0000
2 Ac 0.5000 0.5000 0.0000
3 La 0.0000 0.5000 0.5000
4 La 0.5000 0.0000 0.5000
5 S 0.2381 0.0000 0.7489
6 S 0.2433 0.5000 0.2497
7 S 0.7567 0.5000 0.7503
8 S 0.7619 0.0000 0.2511

***

(3)
Structure and theoretical powder XRD pattern of Ca2ZnAg3Sn4 (the PBE geometry in Alexandria; Cu Kα (λ = 1.5418 Å)).
No peak broadening, texture or thermal motion is included.

Most intense lines, 2θ from 15° to 90°, sorted by position:
two_theta	intensity
21.33	58
29.42	31
32.02	100
40.77	80
40.88	65
41.38	36
59.19	22
59.57	24
68.90	21
74.36	28

Cell and atoms:
Cell lengths 4.4152, 4.4152, 12.5506 Å; angles 90.00, 90.00, 90.00 degrees
Positions (direct):
1 Ca 0.0000 0.5000 0.2445
2 Ca 0.5000 0.0000 0.7555
3 Zn 0.5000 0.5000 0.0000
4 Ag 0.0000 0.0000 0.0000
5 Ag 0.0000 0.5000 0.6497
6 Ag 0.5000 0.0000 0.3503
7 Sn 0.0000 0.0000 0.5000
8 Sn 0.0000 0.5000 0.8643
9 Sn 0.5000 0.0000 0.1357
10 Sn 0.5000 0.5000 0.5000